Ba2HfTaP6: simulated powder diffractogram (λ = 1.5418 Å (Cu Kα)), based on DFT lattice parameters and positions (PBE).

Atomic structure:
Unit cell a=7.4179 b=7.4179 c=7.4179 alpha=52.47 beta=52.47 gamma=52.47
Fractional positions:
Ba: 0.0000 0.0000 0.0000
Ba: 0.4962 0.4962 0.4962
Hf: 0.2256 0.2256 0.2256
Ta: 0.7188 0.7188 0.7188
P: 0.0229 0.4759 0.4759
P: 0.4759 0.0229 0.4759
P: 0.4759 0.4759 0.0229
P: 0.5776 0.9591 0.9591
P: 0.9591 0.5776 0.9591
P: 0.9591 0.9591 0.5776

Peak list (10 most intense, 5° ≤ 2θ ≤ 70°, in order of rising 2θ)
2θ/deg  d_spacing  Rel. int.
24.33  3.659  1000
27.20  3.279  973
36.81  2.442  722
39.41  2.286  198
40.94  2.205  219
46.36  1.958  442
48.06  1.893  193
49.84  1.829  217
56.10  1.639  210
62.03  1.496  196

Pr2AsPPd2: simulated powder diffractogram (λ = 1.5418 Å (Cu Kα)), based on DFT lattice parameters and positions (PBE).

Atomic structure:
Unit cell a=4.3189 b=4.3189 c=7.9660 alpha=90.00 beta=90.00 gamma=120.00
Fractional positions:
Pr: 0.0000 0.0000 0.2452
Pr: 0.0000 0.0000 0.7548
As: 0.3333 0.6667 0.5000
P: 0.6667 0.3333 0.0000
Pd: 0.3333 0.6667 0.0000
Pd: 0.6667 0.3333 0.5000

Peak list (10 most intense, 5° ≤ 2θ ≤ 70°, in order of rising 2θ)
2θ/deg  d_spacing  Rel. int.
23.79  3.740  89
26.32  3.386  87
32.85  2.727  1000
41.72  2.165  23
41.83  2.159  472
45.55  1.992  122
50.10  1.821  15
52.02  1.758  22
54.18  1.693  238
63.55  1.464  277

GdHfSi2: simulated powder diffractogram (λ = 1.5418 Å (Cu Kα)), based on DFT lattice parameters and positions (PBE).

Atomic structure:
Unit cell a=3.7866 b=7.5400 c=5.4609 alpha=90.00 beta=90.00 gamma=90.00
Fractional positions:
Gd: 0.0000 0.0737 0.0000
Gd: 0.5000 0.9263 0.5000
Hf: 0.0000 0.5657 0.2589
Hf: 0.5000 0.4343 0.7589
Si: 0.0000 0.2291 0.5142
Si: 0.0000 0.6935 0.7414
Si: 0.5000 0.3065 0.2414
Si: 0.5000 0.7709 0.0142

Peak list (10 most intense, 5° ≤ 2θ ≤ 70°, in order of rising 2θ)
2θ/deg  d_spacing  Rel. int.
23.60  3.770  293
28.72  3.108  804
31.09  2.876  1000
33.54  2.672  733
34.95  2.567  823
37.48  2.400  469
39.47  2.283  401
42.54  2.125  365
55.28  1.662  357
60.79  1.524  334

PrBN2: simulated powder diffractogram (λ = 1.5418 Å (Cu Kα)), based on DFT lattice parameters and positions (PBE).

Atomic structure:
Unit cell a=7.4073 b=7.4073 c=7.4073 alpha=110.60 beta=110.60 gamma=110.60
Fractional positions:
Pr: 0.2044 0.7500 0.2956
Pr: 0.2500 0.7044 0.7956
Pr: 0.2956 0.2044 0.7500
Pr: 0.7044 0.7956 0.2500
Pr: 0.7500 0.2956 0.2044
Pr: 0.7956 0.2500 0.7044
B: 0.1308 0.2500 0.3692
B: 0.2500 0.3692 0.1308
B: 0.3692 0.1308 0.2500
B: 0.6308 0.8692 0.7500
B: 0.7500 0.6308 0.8692
B: 0.8692 0.7500 0.6308
N: 0.0091 0.2500 0.4909
N: 0.1281 0.3719 0.2500
N: 0.2500 0.1281 0.3719
N: 0.2500 0.4909 0.0091
N: 0.3719 0.2500 0.1281
N: 0.4909 0.0091 0.2500
N: 0.5091 0.9909 0.7500
N: 0.6281 0.7500 0.8719
N: 0.7500 0.5091 0.9909
N: 0.7500 0.8719 0.6281
N: 0.8719 0.6281 0.7500
N: 0.9909 0.7500 0.5091

Peak list (10 most intense, 5° ≤ 2θ ≤ 70°, in order of rising 2θ)
2θ/deg  d_spacing  Rel. int.
14.54  6.090  627
25.73  3.462  290
29.33  3.045  503
30.71  2.911  1000
33.20  2.698  787
40.22  2.242  199
42.98  2.104  198
49.88  1.828  379
56.21  1.637  266
63.12  1.473  214

Sr2TlPd4Pb: simulated powder diffractogram (λ = 1.5418 Å (Cu Kα)), based on DFT lattice parameters and positions (PBE).

Atomic structure:
Unit cell a=4.7634 b=4.7634 c=9.4995 alpha=90.00 beta=90.00 gamma=120.00
Fractional positions:
Sr: 0.3333 0.6667 0.2488
Sr: 0.6667 0.3333 0.7512
Tl: 0.0000 0.0000 0.0000
Pd: 0.3333 0.6667 0.5752
Pd: 0.3333 0.6667 0.9260
Pd: 0.6667 0.3333 0.0740
Pd: 0.6667 0.3333 0.4248
Pb: 0.0000 0.0000 0.5000

Peak list (10 most intense, 5° ≤ 2θ ≤ 70°, in order of rising 2θ)
2θ/deg  d_spacing  Rel. int.
18.68  4.750  441
28.66  3.115  529
35.75  2.512  619
37.77  2.382  1000
42.46  2.129  331
43.99  2.058  193
52.99  1.728  206
62.87  1.478  215
66.89  1.399  197
68.20  1.375  176

Zr3PbCN: simulated powder diffractogram (λ = 1.5418 Å (Cu Kα)), based on DFT lattice parameters and positions (PBE).

Atomic structure:
Unit cell a=3.3433 b=3.3433 c=20.3686 alpha=90.00 beta=90.00 gamma=120.00
Fractional positions:
Zr: 0.0000 0.0000 0.0000
Zr: 0.0000 0.0000 0.5000
Zr: 0.3333 0.6667 0.1269
Zr: 0.3333 0.6667 0.3733
Zr: 0.6667 0.3333 0.6267
Zr: 0.6667 0.3333 0.8731
Pb: 0.0000 0.0000 0.2493
Pb: 0.0000 0.0000 0.7507
C: 0.3333 0.6667 0.5692
C: 0.6667 0.3333 0.4308
N: 0.3333 0.6667 0.9357
N: 0.6667 0.3333 0.0643

Peak list (10 most intense, 5° ≤ 2θ ≤ 70°, in order of rising 2θ)
2θ/deg  d_spacing  Rel. int.
8.68  10.184  214
30.88  2.895  174
32.14  2.785  118
35.25  2.546  237
35.67  2.517  1000
47.56  1.912  136
54.93  1.672  236
63.53  1.464  181
66.97  1.397  222
67.23  1.393  157

Pr3Al11: simulated powder diffractogram (λ = 1.5418 Å (Cu Kα)), based on DFT lattice parameters and positions (PBE).

Atomic structure:
Unit cell a=8.5414 b=8.5414 c=8.5414 alpha=150.19 beta=107.73 gamma=80.09
Fractional positions:
Pr: 0.0000 0.0000 0.0000
Pr: 0.3180 0.3180 0.0000
Pr: 0.6820 0.6820 0.0000
Al: 0.0348 0.6660 0.3688
Al: 0.1369 0.8630 0.2739
Al: 0.2844 0.5000 0.7844
Al: 0.2972 0.6660 0.6312
Al: 0.4109 0.1370 0.2739
Al: 0.5000 0.0000 0.5000
Al: 0.5891 0.8630 0.7261
Al: 0.7028 0.3340 0.3688
Al: 0.7156 0.5000 0.2156
Al: 0.8631 0.1370 0.7261
Al: 0.9652 0.3340 0.6312

Peak list (10 most intense, 5° ≤ 2θ ≤ 70°, in order of rising 2θ)
2θ/deg  d_spacing  Rel. int.
17.61  5.037  314
22.07  4.028  462
22.22  4.001  451
28.85  3.095  386
33.59  2.668  395
33.69  2.660  341
34.00  2.637  1000
41.08  2.197  237
49.83  1.830  209
54.14  1.694  175

LaErGe4Os2: simulated powder diffractogram (λ = 1.5418 Å (Cu Kα)), based on DFT lattice parameters and positions (PBE).

Atomic structure:
Unit cell a=4.5207 b=4.4343 c=8.4134 alpha=90.00 beta=104.31 gamma=90.00
Fractional positions:
La: 0.0000 0.0000 0.0000
Er: 0.7822 0.5000 0.5809
Ge: 0.0785 0.5000 0.3015
Ge: 0.3543 0.0000 0.7060
Ge: 0.4376 0.5000 0.8840
Ge: 0.7226 0.0000 0.2980
Os: 0.2891 0.0000 0.4151
Os: 0.5128 0.5000 0.1819

Peak list (10 most intense, 5° ≤ 2θ ≤ 70°, in order of rising 2θ)
2θ/deg  d_spacing  Rel. int.
10.85  8.152  1000
28.65  3.116  472
28.82  3.098  860
29.77  3.001  536
32.51  2.754  856
34.26  2.617  748
38.87  2.317  827
39.89  2.260  480
40.69  2.217  782
58.30  1.583  423

> Which formula does entry 5 have?

Sr2TlPd4Pb